1.
Starting from a crystal structure in Alexandria, relaxed with GGA+U, the X-ray diffraction stick pattern of MnW2O7 was calculated for Cu Kα.

Largest 12 diffraction maxima, by intensity, 2θ = 5–70°:
d [Å], I/Imax
3.081, 100
3.135, 95
4.794, 83
1.821, 70
2.502, 66
3.196, 56
2.765, 49
1.721, 42
1.582, 41
2.371, 34
1.702, 30
1.562, 21

Crystal structure
Lattice parameters (Å, degrees): 3.6417 3.6417 28.7627 90.00 90.00 120.00
Space group R-3m (No. 166, hexagonal axes)
Symmetry-distinct sites (fractional):
Mn: 0.0000 0.0000 0.0000 x3
W: 0.0000 0.0000 0.4326 x6
O: 0.0000 0.0000 0.0900 x6
O: 0.0000 0.0000 0.2264 x6
O: 0.0000 0.0000 0.3661 x6
O: 0.0000 0.0000 0.5000 x3

2.
Starting from a crystal structure in Alexandria, relaxed with GGA+U, the X-ray diffraction stick pattern of Mn2WO5 was calculated for Cu Kα.

Largest 12 diffraction maxima, by intensity, 2θ = 5–70°:
d [Å], I/Imax
3.028, 100
2.863, 96
5.108, 84
4.695, 61
3.518, 55
2.569, 43
2.643, 41
1.837, 38
1.729, 29
2.554, 24
1.906, 23
2.113, 23

Crystal structure
Lattice parameters (Å, degrees): 11.0067 5.2863 7.3932 90.00 111.85 90.00
Space group C2/c (No. 15)
Symmetry-distinct sites (fractional):
Mn: 0.1420 0.0043 0.2514 x8
W: 0.0000 0.5000 0.0000 x4
O: 0.0000 0.3417 0.7500 x4
O: 0.0784 0.1891 0.4597 x8
O: 0.1708 0.3567 0.1371 x8

3.
Starting from a crystal structure in Alexandria, relaxed with GGA+U, the X-ray diffraction stick pattern of YMn2O4 was calculated for Cu Kα.

Largest 12 diffraction maxima, by intensity, 2θ = 5–70°:
d [Å], I/Imax
2.490, 100
2.857, 33
3.141, 29
1.570, 22
1.868, 18
1.708, 17
1.576, 14
1.658, 14
1.439, 7
1.874, 6
1.428, 5
2.879, 4

Crystal structure
Lattice parameters (Å, degrees): 5.7580 5.7580 9.8712 90.00 90.00 90.00
Space group I4_1/a (No. 88, origin choice 2)
Symmetry-distinct sites (fractional):
Y: 0.0000 0.2500 0.1250 x4
Mn: 0.0000 0.0000 0.5000 x8
O: 0.1526 0.4538 0.3238 x16

4.
Starting from a crystal structure in Alexandria, relaxed with GGA+U, the X-ray diffraction stick pattern of YMn2O4 was calculated for Cu Kα.

Largest 12 diffraction maxima, by intensity, 2θ = 5–70°:
d [Å], I/Imax
2.808, 100
2.282, 63
2.123, 44
2.608, 39
2.921, 38
2.584, 29
1.677, 25
1.640, 22
1.531, 21
4.594, 20
1.524, 17
1.389, 16

Crystal structure
Lattice parameters (Å, degrees): 10.3358 3.1963 10.0326 90.00 90.00 90.00
Space group Pca2_1 (No. 29)
Symmetry-distinct sites (fractional):
Y: 0.1398 0.2057 0.0000 x4
Mn: 0.1154 0.6969 0.6871 x4
Mn: 0.1222 0.7311 0.3230 x4
O: 0.0209 0.6819 0.8747 x4
O: 0.0443 0.7352 0.1447 x4
O: 0.2033 0.7095 0.4998 x4
O: 0.2473 0.1730 0.7663 x4

5.
Starting from a crystal structure in Alexandria, relaxed with GGA+U, the X-ray diffraction stick pattern of YMn2O4 was calculated for Cu Kα.

Largest 12 diffraction maxima, by intensity, 2θ = 5–70°:
d [Å], I/Imax
2.746, 100
2.863, 99
2.674, 86
2.693, 81
5.195, 73
2.807, 71
1.618, 67
1.575, 58
2.381, 45
2.597, 40
1.664, 38
1.607, 35

Crystal structure
Lattice parameters (Å, degrees): 9.0008 8.8238 6.4366 90.00 132.29 90.00
Space group C2/c (No. 15)
Symmetry-distinct sites (fractional):
Y: 0.2500 0.2500 0.0000 x4
Mn: 0.0000 0.0000 0.0000 x4
Mn: 0.0000 0.3656 0.2500 x4
O: 0.0092 0.2256 0.5231 x8
O: 0.2279 0.0038 0.5115 x8

6.
Starting from a crystal structure in Alexandria, relaxed with GGA+U, the X-ray diffraction stick pattern of MnZn4O5 was calculated for Cu Kα.

Largest 12 diffraction maxima, by intensity, 2θ = 5–70°:
d [Å], I/Imax
2.533, 100
2.875, 53
2.677, 39
1.660, 36
1.516, 32
1.411, 28
1.959, 22
1.388, 15
1.437, 5
1.446, 2
2.417, 1
2.434, 1

Crystal structure
Lattice parameters (Å, degrees): 3.3194 3.3194 26.7706 90.00 90.00 120.00
Space group P3m1 (No. 156)
Symmetry-distinct sites (fractional):
Mn: 0.0000 0.0000 0.0000 x1
Mn: 0.0000 0.0000 0.2052 x1
Zn: 0.0000 0.0000 0.4060 x1
Zn: 0.0000 0.0000 0.6025 x1
Zn: 0.0000 0.0000 0.7991 x1
Zn: 0.3333 0.6667 0.1027 x1
Zn: 0.3333 0.6667 0.3078 x1
Zn: 0.3333 0.6667 0.5042 x1
Zn: 0.3333 0.6667 0.7008 x1
Zn: 0.3333 0.6667 0.8974 x1
O: 0.0000 0.0000 0.1267 x1
O: 0.0000 0.0000 0.3307 x1
O: 0.0000 0.0000 0.5273 x1
O: 0.0000 0.0000 0.7241 x1
O: 0.0000 0.0000 0.9215 x1
O: 0.3333 0.6667 0.0281 x1
O: 0.3333 0.6667 0.2327 x1
O: 0.3333 0.6667 0.4290 x1
O: 0.3333 0.6667 0.6257 x1
O: 0.3333 0.6667 0.8226 x1

7.
Starting from a crystal structure in Alexandria, relaxed with GGA+U, the X-ray diffraction stick pattern of Mn3ZnO7 was calculated for Cu Kα.

Largest 12 diffraction maxima, by intensity, 2θ = 5–70°:
d [Å], I/Imax
4.835, 100
2.489, 99
2.073, 61
3.016, 56
3.187, 44
1.459, 41
1.602, 40
1.473, 38
2.458, 20
1.396, 16
2.661, 15
4.915, 12

Crystal structure
Lattice parameters (Å, degrees): 7.7185 7.7185 14.5039 90.00 90.00 120.00
Space group R-3 (No. 148, hexagonal axes)
Symmetry-distinct sites (fractional):
Mn: 0.0496 0.8053 0.1661 x18
Zn: 0.0000 0.0000 0.3748 x6
O: 0.0000 0.0000 0.2369 x6
O: 0.0444 0.8076 0.8994 x18
O: 0.0527 0.7940 0.4274 x18

8.
Starting from a crystal structure in Alexandria, relaxed with GGA+U, the X-ray diffraction stick pattern of MnZnO2 was calculated for Cu Kα.

Largest 12 diffraction maxima, by intensity, 2θ = 5–70°:
d [Å], I/Imax
2.727, 100
1.697, 16
1.661, 15
1.446, 12
1.435, 12
1.392, 11
2.412, 9
2.387, 9
2.290, 8
1.654, 7
1.651, 7
1.363, 6

Crystal structure
Lattice parameters (Å, degrees): 4.5809 4.8246 4.7739 90.00 90.10 90.00
Space group C2 (No. 5)
Symmetry-distinct sites (fractional):
Mn: 0.0000 0.0000 0.0000 x2
Zn: 0.0000 0.4998 0.5000 x2
O: 0.2501 0.2492 0.7380 x4

9.
Starting from a crystal structure in Alexandria, relaxed with GGA+U, the X-ray diffraction stick pattern of Mn9Zn3O16 was calculated for Cu Kα.

Largest 12 diffraction maxima, by intensity, 2θ = 5–70°:
d [Å], I/Imax
2.520, 100
2.766, 72
1.554, 54
3.107, 42
1.598, 31
1.793, 22
1.462, 21
2.924, 18
2.068, 14
1.721, 13
2.355, 12
2.484, 11

Crystal structure
Lattice parameters (Å, degrees): 5.8480 5.8480 9.4193 90.00 90.00 90.00
Space group P-4m2 (No. 115)
Symmetry-distinct sites (fractional):
Mn: 0.0000 0.0000 0.0000 x1
Mn: 0.0000 0.2504 0.3763 x4
Mn: 0.2512 0.5000 0.1278 x4
Zn: 0.0000 0.5000 0.7490 x2
Zn: 0.5000 0.5000 0.5000 x1
O: 0.0000 0.2258 0.6193 x4
O: 0.0000 0.2774 0.1352 x4
O: 0.2261 0.5000 0.3713 x4
O: 0.2726 0.5000 0.8803 x4

10.
Starting from a crystal structure in Alexandria, relaxed with GGA+U, the X-ray diffraction stick pattern of MnZn4O5 was calculated for Cu Kα.

Largest 10 diffraction maxima, by intensity, 2θ = 5–70°:
d [Å], I/Imax
2.532, 100
2.875, 53
2.673, 40
1.660, 36
1.515, 34
1.410, 29
1.958, 23
1.388, 15
1.438, 5
6.330, 1

Crystal structure
Lattice parameters (Å, degrees): 12.1348 3.3215 12.6805 90.00 93.31 90.00
Space group Cm (No. 8)
Symmetry-distinct sites (fractional):
Mn: 0.0000 0.0000 0.0000 x2
Mn: 0.1996 0.0000 0.5965 x2
Zn: 0.0303 0.5000 0.4295 x2
Zn: 0.0992 0.5000 0.7997 x2
Zn: 0.1340 0.0000 0.2340 x2
Zn: 0.2346 0.5000 0.0340 x2
Zn: 0.3003 0.5000 0.3975 x2
Zn: 0.3316 0.0000 0.8313 x2
Zn: 0.3985 0.0000 0.2007 x2
Zn: 0.4350 0.5000 0.6336 x2
O: 0.0512 0.5000 0.2733 x2
O: 0.0842 0.0000 0.7112 x2
O: 0.1562 0.0000 0.0778 x2
O: 0.1823 0.5000 0.5003 x2
O: 0.2511 0.5000 0.8759 x2
O: 0.2852 0.0000 0.3092 x2
O: 0.3552 0.0000 0.6757 x2
O: 0.3827 0.5000 0.1129 x2
O: 0.4510 0.5000 0.4754 x2
O: 0.4827 0.0000 0.9038 x2

11.
Starting from a crystal structure in Alexandria, relaxed with GGA+U, the X-ray diffraction stick pattern of Mn2Zn2O5 was calculated for Cu Kα.

Largest 12 diffraction maxima, by intensity, 2θ = 5–70°:
d [Å], I/Imax
2.639, 100
2.813, 40
2.559, 36
1.493, 30
1.893, 27
1.840, 22
1.588, 20
1.540, 11
4.930, 10
2.949, 9
1.844, 8
2.917, 7

Crystal structure
Lattice parameters (Å, degrees): 5.6252 10.2361 3.6806 90.00 90.00 90.00
Space group Pbam (No. 55)
Symmetry-distinct sites (fractional):
Mn: 0.2473 0.1280 0.0000 x4
Zn: 0.2006 0.8933 0.5000 x4
O: 0.0000 0.5000 0.0000 x2
O: 0.1111 0.8171 0.0000 x4
O: 0.1893 0.0926 0.5000 x4